Structure and computed powder diffractogram of Na3FeSiBO7 (a PBE+U-relaxed structure; copper Kα).
No peak broadening, texture or thermal motion is included.

abc: 5.288 6.677 8.970
angles: 90.00 91.95 90.00
Fractional coordinates of all 26 atoms:
Na  0.232  0.250  0.088
Na  0.259  0.508  0.735
Na  0.259  0.992  0.735
Na  0.741  0.008  0.265
Na  0.741  0.492  0.265
Na  0.768  0.750  0.912
Fe  0.213  0.750  0.343
Fe  0.787  0.250  0.657
Si  0.279  0.250  0.424
Si  0.721  0.750  0.576
B  0.271  0.750  0.066
B  0.729  0.250  0.934
O  0.035  0.750  0.127
O  0.121  0.250  0.578
O  0.214  0.055  0.318
O  0.214  0.445  0.318
O  0.312  0.750  0.918
O  0.414  0.750  0.528
O  0.466  0.750  0.174
O  0.534  0.250  0.826
O  0.586  0.250  0.472
O  0.688  0.250  0.082
O  0.786  0.555  0.682
O  0.786  0.945  0.682
O  0.879  0.750  0.422
O  0.965  0.250  0.873

Peak list (10 most intense, 10° ≤ 2θ ≤ 90°, low angle first)
2theta	I_rel	hkl
16.6	46	0 1 1
19.8	43	1 0 1
26.7	87	0 2 0
33.1	50	1 2 -1
33.5	95	0 2 2
33.9	100	2 0 0
37.6	31	1 1 3
48.9	43	0 2 4
55.0	35	0 4 0
60.0	30	3 0 -3